Diffraction record for Na2NiPCO7. The X-ray diffraction stick pattern is theoretical, not measured: it uses a crystal structure in Alexandria, relaxed with GGA+U and Cu Ka.

Crystal structure
```
48
Lattice="8.289 0.000 0.000 -1.902 8.133 0.000 -3.213 -3.955 9.123" Properties=species:S:1:pos:R:3 pbc="T T T"
Na 0.000 0.000 0.000
Na -3.367 6.054 4.588
Na -2.509 2.099 9.110
Na 1.412 1.971 4.344
Na -0.115 0.107 9.029
Na 3.993 -0.068 4.473
Na 2.623 -2.045 8.957
Na 4.943 3.091 3.160
Ni -1.225 1.202 5.572
Ni -0.469 -3.154 8.124
Ni 1.970 5.198 5.570
Ni 2.687 0.894 8.156
P -2.781 -0.839 7.497
P 1.098 -1.149 6.109
P 0.414 3.223 7.499
P 4.230 2.846 6.133
C -1.429 0.846 2.855
C 3.001 1.132 1.514
C 1.853 4.995 2.877
C 6.082 5.128 1.514
O -1.559 5.900 0.691
O -2.215 5.248 2.765
O -3.559 3.433 7.470
O -0.807 1.809 3.440
O -2.097 -1.941 8.351
O -1.823 0.384 7.343
O 0.128 -2.337 6.400
O 0.360 -0.092 5.247
O 2.263 0.194 1.012
O 0.037 2.667 6.114
O 1.791 4.862 1.612
O -0.829 3.670 8.313
O 1.218 4.200 3.663
O 3.614 1.878 0.633
O 2.349 -1.606 5.330
O 3.139 1.345 2.764
O 1.505 -0.568 7.491
O 1.061 2.120 8.388
O 2.564 5.912 3.437
O 1.406 4.420 7.345
O 3.190 1.710 6.419
O 5.403 4.166 0.933
O 3.571 3.924 5.223
O 5.123 -1.381 6.095
O 6.809 0.752 1.584
O 6.234 0.004 3.608
O 4.251 -0.421 8.305
O 5.360 2.216 5.272
```

Most intense lines, 15 to 90 degrees two-theta, in order of rising 2θ:
- (-1 1 1), 16.6 deg, rel. 47.6
- (1 -1 1), 16.8 deg, rel. 41.1
- (1 1 1), 25.9 deg, rel. 75.1
- (2 -2 0), 27.4 deg, rel. 100.0
- (-2 2 2), 33.7 deg, rel. 52.3
- (2 -2 2), 34.0 deg, rel. 65.7
- (1 1 2), 34.1 deg, rel. 62.4
- (2 2 -2), 34.7 deg, rel. 71.1